No. 1
Calculated X-ray powder pattern
Compound: HfSc3Ga4
Radiation: a wavelength of 1.5418 Å
Structure: a DFT-relaxed cell (GGA-PBE, Alexandria)

Structure:
Cell: 9.6520 6.2834 4.9421 Å, 90.00 90.00 90.00°
Space group Pmma (No. 51)
Asymmetric unit:
Hf 0.0000 0.0000 0.0000 [2 per cell]
Sc 0.0000 0.5000 0.0000 [2 per cell]
Sc 0.2500 0.0000 0.4079 [2 per cell]
Sc 0.2500 0.5000 0.4135 [2 per cell]
Ga 0.0000 0.2489 0.5000 [4 per cell]
Ga 0.2500 0.2481 0.9014 [4 per cell]

Main lines, in order of rising 2θ (10° ≤ 2θ ≤ 80°):
- 14.09 deg, I 16
- 29.52 deg, I 11
- 36.36 deg, I 19
- 37.26 deg, I 32
- 38.75 deg, I 100
- 41.04 deg, I 11
- 53.04 deg, I 13
- 68.19 deg, I 18

---

No. 2
Calculated X-ray powder pattern
Compound: Tl2O2F
Radiation: a wavelength of 1.5418 Å
Structure: a DFT-relaxed cell (GGA-PBE, Alexandria)

Structure:
Cell: 4.0045 4.0045 10.1574 Å, 90.00 90.00 90.00°
Space group I4/mmm (No. 139)
Asymmetric unit:
Tl 0.0000 0.0000 0.1434 [4 per cell]
O 0.0000 0.5000 0.2500 [4 per cell]
F 0.0000 0.0000 0.5000 [2 per cell]

Main lines, in order of rising 2θ (10° ≤ 2θ ≤ 80°):
- 23.89 deg, I 91
- 31.60 deg, I 65
- 34.70 deg, I 100
- 45.29 deg, I 33
- 48.13 deg, I 38
- 51.84 deg, I 24
- 58.28 deg, I 45
- 58.72 deg, I 15